No. 1
For Tb3SbO7, a DFT-relaxed cell (PBE, Alexandria) gives the simulated powder X-ray diffraction pattern in this record (λ = 1.5418 Å (Cu Kα)).
No peak broadening, texture or thermal motion is included.

The 10 most intense peaks (2θ from 10° to 80°), low angle first:
2θ 29.01, d 3.078, intensity 98; 2θ 29.12, d 3.067, intensity 100; 2θ 33.65, d 2.664, intensity 47; 2θ 33.75, d 2.656, intensity 21; 2θ 48.17, d 1.889, intensity 17; 2θ 48.41, d 1.880, intensity 72; 2θ 57.28, d 1.608, intensity 30; 2θ 57.50, d 1.603, intensity 51; 2θ 78.27, d 1.222, intensity 10; 2θ 78.45, d 1.219, intensity 14

```
22
Lattice="3.756 -5.311 0.000 3.756 5.311 0.000 0.000 0.000 7.556" Properties=species:S:1:pos:R:3 pbc="T T T"
Tb 0.017 0.000 0.000
Tb 1.998 2.486 1.892
Tb 1.998 -2.486 5.664
Tb 5.515 2.486 1.886
Tb 5.515 -2.486 5.670
Tb 7.496 0.000 3.778
Sb 3.756 0.000 0.000
Sb 3.757 0.000 3.778
O 3.756 3.931 5.667
O 3.756 3.856 1.889
O 2.274 1.319 7.334
O 2.286 1.325 4.006
O 2.274 -1.319 0.222
O 2.286 -1.325 3.550
O 3.756 0.737 1.889
O 3.756 -0.737 5.667
O 5.227 1.325 7.328
O 5.239 1.319 4.000
O 5.227 -1.325 0.228
O 5.239 -1.319 3.556
O 3.756 -3.856 5.667
O 3.756 -3.931 1.889
```

=====

No. 2
For SbH2Ru, a DFT-relaxed cell (PBE, Alexandria) gives the simulated powder X-ray diffraction pattern in this record (λ = 1.5418 Å (Cu Kα)).
No peak broadening, texture or thermal motion is included.

The 10 most intense peaks (2θ from 10° to 80°), low angle first:
2θ 14.28, d 6.203, intensity 62; 2θ 22.56, d 3.941, intensity 60; 2θ 25.54, d 3.487, intensity 85; 2θ 36.09, d 2.489, intensity 100; 2θ 38.60, d 2.333, intensity 82; 2θ 42.43, d 2.131, intensity 29; 2θ 42.90, d 2.108, intensity 33; 2θ 43.55, d 2.078, intensity 32; 2θ 43.78, d 2.068, intensity 21; 2θ 49.19, d 1.852, intensity 15

```
8
Lattice="2.088 -6.203 0.000 2.088 6.203 0.000 -0.415 0.000 4.216" Properties=species:S:1:pos:R:3 pbc="T T T"
Sb 1.777 4.905 3.162
Sb 1.984 -4.905 1.054
H 1.048 2.184 3.832
H 2.506 2.184 2.493
H 1.256 -2.184 1.723
H 2.713 -2.184 0.385
Ru 1.984 3.009 1.054
Ru 1.777 -3.009 3.162
```

=====

No. 3
For La12Zn6In, a DFT-relaxed cell (PBE, Alexandria) gives the simulated powder X-ray diffraction pattern in this record (λ = 1.5418 Å (Cu Kα)).
No peak broadening, texture or thermal motion is included.

The 10 most intense peaks (2θ from 10° to 80°), low angle first:
2θ 26.97, d 3.306, intensity 15; 2θ 31.53, d 2.838, intensity 47; 2θ 31.70, d 2.823, intensity 19; 2θ 31.94, d 2.802, intensity 100; 2θ 36.92, d 2.434, intensity 69; 2θ 45.31, d 2.001, intensity 14; 2θ 52.94, d 1.729, intensity 23; 2θ 53.48, d 1.713, intensity 12; 2θ 62.94, d 1.477, intensity 14; 2θ 63.42, d 1.467, intensity 14

```
19
Lattice="7.468 4.312 2.838 -7.468 4.312 2.838 0.000 -8.624 2.838" Properties=species:S:1:pos:R:3 pbc="T T T"
La -0.705 -5.175 2.847
La -1.259 -1.923 2.892
La -4.129 3.198 2.847
La -4.834 -1.976 5.666
La -1.036 2.052 2.892
La 2.295 -0.128 2.892
La -2.295 0.128 5.621
La 1.036 -2.052 5.621
La 4.834 1.976 2.847
La 4.129 -3.198 5.666
La 1.259 1.923 5.621
La 0.705 5.175 5.666
Zn -3.799 -0.151 2.815
Zn 2.031 -3.215 2.815
Zn -1.769 -3.366 5.698
Zn 1.769 3.366 2.815
Zn -2.031 3.215 5.698
Zn 3.799 0.151 5.698
In 0.000 0.000 0.000
```

=====

No. 4
For Pt5Pb3, a DFT-relaxed cell (PBE, Alexandria) gives the simulated powder X-ray diffraction pattern in this record (λ = 1.5418 Å (Cu Kα)).
No peak broadening, texture or thermal motion is included.

The 10 most intense peaks (2θ from 10° to 80°), low angle first:
2θ 27.74, d 3.215, intensity 34; 2θ 30.77, d 2.906, intensity 52; 2θ 31.39, d 2.850, intensity 100; 2θ 33.95, d 2.640, intensity 40; 2θ 36.40, d 2.468, intensity 34; 2θ 39.56, d 2.278, intensity 41; 2θ 41.48, d 2.177, intensity 80; 2θ 41.59, d 2.172, intensity 27; 2θ 42.49, d 2.128, intensity 48; 2θ 44.28, d 2.046, intensity 44

```
16
Lattice="3.231 -7.586 0.000 3.231 7.586 0.000 -1.675 0.000 7.100" Properties=species:S:1:pos:R:3 pbc="T T T"
Pt 1.545 5.611 4.630
Pt 0.637 1.908 6.129
Pt 0.287 0.000 4.317
Pt 3.243 5.611 2.471
Pt 0.637 -1.908 6.129
Pt 4.150 1.908 0.971
Pt 1.545 -5.611 4.630
Pt 4.501 0.000 2.784
Pt 4.150 -1.908 0.971
Pt 3.243 -5.611 2.471
Pb 3.231 4.385 0.000
Pb 2.394 2.984 3.550
Pb 1.872 0.000 1.345
Pb 2.916 0.000 5.755
Pb 2.394 -2.984 3.550
Pb 3.231 -4.385 0.000
```

=====

No. 5
For LaTb12Y7, a DFT-relaxed cell (PBE, Alexandria) gives the simulated powder X-ray diffraction pattern in this record (λ = 1.5418 Å (Cu Kα)).
No peak broadening, texture or thermal motion is included.

The 10 most intense peaks (2θ from 10° to 80°), low angle first:
2θ 22.26, d 3.993, intensity 19; 2θ 28.11, d 3.174, intensity 20; 2θ 29.22, d 3.057, intensity 24; 2θ 30.67, d 2.915, intensity 30; 2θ 31.37, d 2.852, intensity 100; 2θ 31.86, d 2.809, intensity 46; 2θ 32.86, d 2.725, intensity 75; 2θ 52.85, d 1.732, intensity 14; 2θ 54.64, d 1.680, intensity 14; 2θ 54.87, d 1.673, intensity 16

```
20
Lattice="6.033 3.483 5.328 -6.033 3.483 5.328 0.000 -6.967 5.328" Properties=species:S:1:pos:R:3 pbc="T T T"
La 0.000 0.000 0.000
Tb -1.972 -0.549 4.697
Tb -0.739 -3.253 7.169
Tb -3.186 -0.987 8.814
Tb 1.462 -1.433 4.697
Tb -2.448 2.266 7.169
Tb 0.510 1.983 4.697
Tb -0.510 -1.983 11.286
Tb 2.448 -2.266 8.814
Tb -1.462 1.433 11.286
Tb 3.186 0.987 7.169
Tb 0.739 3.253 8.814
Tb 1.972 0.549 11.286
Y -5.266 0.492 6.642
Y -3.059 -4.315 9.341
Y 2.207 -4.807 6.642
Y 0.000 0.000 7.991
Y -2.207 4.807 9.341
Y 3.059 4.315 6.642
Y 5.266 -0.492 9.341
```

=====

No. 6
For LaTbIr2, a DFT-relaxed cell (PBE, Alexandria) gives the simulated powder X-ray diffraction pattern in this record (λ = 1.5418 Å (Cu Kα)).
No peak broadening, texture or thermal motion is included.

The 7 most intense peaks (2θ from 10° to 80°), low angle first:
2θ 25.29, d 3.522, intensity 2; 2θ 36.06, d 2.490, intensity 100; 2θ 44.56, d 2.033, intensity 1; 2θ 51.92, d 1.761, intensity 18; 2θ 58.61, d 1.575, intensity 1; 2θ 64.84, d 1.438, intensity 37; 2θ 76.50, d 1.245, intensity 11

```
4
Lattice="0.000 3.522 3.522 3.522 0.000 3.522 3.522 3.522 0.000" Properties=species:S:1:pos:R:3 pbc="T T T"
La 0.000 0.000 0.000
Tb 3.522 3.522 3.522
Ir 1.761 1.761 1.761
Ir 5.283 5.283 5.283
```

=====

No. 7
For ZnGaCuRh, a DFT-relaxed cell (PBE, Alexandria) gives the simulated powder X-ray diffraction pattern in this record (λ = 1.5418 Å (Cu Kα)).
No peak broadening, texture or thermal motion is included.

The 10 most intense peaks (2θ from 10° to 80°), low angle first:
2θ 21.90, d 4.058, intensity 2; 2θ 22.37, d 3.974, intensity 2; 2θ 34.78, d 2.580, intensity 1; 2θ 41.48, d 2.177, intensity 100; 2θ 44.66, d 2.029, intensity 20; 2θ 45.66, d 1.987, intensity 19; 2θ 54.08, d 1.696, intensity 11; 2θ 65.78, d 1.420, intensity 12; 2θ 72.67, d 1.301, intensity 9; 2θ 73.41, d 1.290, intensity 9

```
4
Lattice="3.391 0.000 0.000 0.000 3.974 0.000 0.000 0.000 4.058" Properties=species:S:1:pos:R:3 pbc="T T T"
Zn 0.000 0.000 0.000
Ga 0.000 1.987 2.029
Cu 1.696 1.987 0.000
Rh 1.696 0.000 2.029
```

=====

No. 8
For Sm2Fe5C4, a DFT-relaxed cell (PBE, Alexandria) gives the simulated powder X-ray diffraction pattern in this record (λ = 1.5418 Å (Cu Kα)).
No peak broadening, texture or thermal motion is included.

The 10 most intense peaks (2θ from 10° to 80°), low angle first:
2θ 21.87, d 4.063, intensity 28; 2θ 33.05, d 2.711, intensity 100; 2θ 38.27, d 2.352, intensity 53; 2θ 39.94, d 2.257, intensity 49; 2θ 40.81, d 2.211, intensity 89; 2θ 43.05, d 2.101, intensity 63; 2θ 50.87, d 1.795, intensity 30; 2θ 58.95, d 1.567, intensity 21; 2θ 65.41, d 1.427, intensity 21; 2θ 69.37, d 1.355, intensity 23

```
11
Lattice="0.000 4.703 5.146 2.506 0.000 5.146 2.506 4.703 0.000" Properties=species:S:1:pos:R:3 pbc="T T T"
Sm 2.506 4.703 1.519
Sm 2.506 4.703 8.773
Fe 1.253 2.352 0.000
Fe 1.253 2.352 2.573
Fe 1.253 2.352 5.146
Fe 2.506 4.703 5.146
Fe 3.758 7.055 7.719
C 2.506 3.167 3.808
C 2.506 3.167 6.484
C 2.506 6.239 3.808
C 2.506 6.239 6.484
```

=====

No. 9
For Ac3Sm6Y, a DFT-relaxed cell (PBE, Alexandria) gives the simulated powder X-ray diffraction pattern in this record (λ = 1.5418 Å (Cu Kα)).
No peak broadening, texture or thermal motion is included.

The 10 most intense peaks (2θ from 10° to 80°), low angle first:
2θ 27.22, d 3.277, intensity 64; 2θ 29.59, d 3.019, intensity 22; 2θ 30.45, d 2.936, intensity 100; 2θ 34.55, d 2.596, intensity 15; 2θ 38.95, d 2.312, intensity 22; 2θ 41.29, d 2.187, intensity 21; 2θ 52.16, d 1.754, intensity 21; 2θ 52.90, d 1.731, intensity 16; 2θ 54.11, d 1.695, intensity 20; 2θ 63.36, d 1.468, intensity 13

```
10
Lattice="5.085 2.936 4.285 -5.085 2.936 4.285 0.000 -5.872 4.285" Properties=species:S:1:pos:R:3 pbc="T T T"
Ac 0.000 0.000 0.000
Ac 0.000 0.000 3.302
Ac 0.000 0.000 9.553
Sm -3.327 -0.008 5.411
Sm -1.656 -2.885 7.444
Sm 1.670 -2.877 5.411
Sm -1.670 2.877 7.444
Sm 1.656 2.885 5.411
Sm 3.327 0.008 7.444
Y 0.000 0.000 6.428
```

=====

No. 10
For Be2TeRh, a DFT-relaxed cell (PBE, Alexandria) gives the simulated powder X-ray diffraction pattern in this record (λ = 1.5418 Å (Cu Kα)).
No peak broadening, texture or thermal motion is included.

The 10 most intense peaks (2θ from 10° to 80°), low angle first:
2θ 16.83, d 5.267, intensity 43; 2θ 27.32, d 3.264, intensity 33; 2θ 32.27, d 2.774, intensity 100; 2θ 44.19, d 2.050, intensity 53; 2θ 48.29, d 1.885, intensity 31; 2θ 51.50, d 1.774, intensity 14; 2θ 59.28, d 1.559, intensity 17; 2θ 67.52, d 1.387, intensity 15; 2θ 73.76, d 1.285, intensity 14; 2θ 79.85, d 1.201, intensity 14

```
4
Lattice="3.264 -1.884 0.000 3.264 1.884 0.000 -0.007 0.000 5.267" Properties=species:S:1:pos:R:3 pbc="T T T"
Be 0.000 0.000 0.000
Be 4.352 0.000 0.380
Te 4.345 0.000 2.934
Rh 2.169 0.000 4.554
```

=====

No. 11
For Sr3Ca5Cd3, a DFT-relaxed cell (PBE, Alexandria) gives the simulated powder X-ray diffraction pattern in this record (λ = 1.5418 Å (Cu Kα)).
No peak broadening, texture or thermal motion is included.

The 10 most intense peaks (2θ from 10° to 80°), low angle first:
2θ 18.11, d 4.897, intensity 27; 2θ 20.10, d 4.417, intensity 31; 2θ 24.08, d 3.695, intensity 17; 2θ 30.02, d 2.976, intensity 100; 2θ 30.33, d 2.947, intensity 70; 2θ 31.13, d 2.873, intensity 61; 2θ 31.90, d 2.806, intensity 48; 2θ 39.77, d 2.267, intensity 17; 2θ 41.06, d 2.198, intensity 14; 2θ 48.71, d 1.869, intensity 16

```
11
Lattice="8.921 -2.806 0.000 8.921 2.806 0.000 -5.637 0.000 8.299" Properties=species:S:1:pos:R:3 pbc="T T T"
Sr 0.000 0.000 0.000
Sr 8.059 0.000 5.476
Sr 11.854 0.000 4.360
Ca 0.981 0.000 3.524
Ca 0.396 0.000 8.088
Ca 4.423 0.000 5.874
Ca 11.968 0.000 0.699
Ca 15.215 0.000 2.907
Cd -2.724 0.000 6.475
Cd 4.155 0.000 2.569
Cd 8.685 0.000 2.095
```

=====

No. 12
For ThP2Rh7, a DFT-relaxed cell (PBE, Alexandria) gives the simulated powder X-ray diffraction pattern in this record (λ = 1.5418 Å (Cu Kα)).
No peak broadening, texture or thermal motion is included.

The 10 most intense peaks (2θ from 10° to 80°), low angle first:
2θ 26.14, d 3.409, intensity 18; 2θ 33.02, d 2.713, intensity 56; 2θ 36.55, d 2.458, intensity 38; 2θ 36.72, d 2.448, intensity 58; 2θ 42.26, d 2.139, intensity 100; 2θ 45.45, d 1.996, intensity 65; 2θ 59.68, d 1.549, intensity 37; 2θ 66.23, d 1.411, intensity 21; 2θ 75.62, d 1.258, intensity 21; 2θ 78.13, d 1.223, intensity 29

```
10
Lattice="-1.996 1.996 9.833 1.996 -1.996 9.833 1.996 1.996 -9.833" Properties=species:S:1:pos:R:3 pbc="T T T"
Th 0.000 0.000 0.000
P 0.000 0.000 6.330
P 0.000 0.000 13.336
Rh 1.996 0.000 2.187
Rh 1.996 0.000 4.917
Rh 1.996 0.000 7.646
Rh 0.000 0.000 9.833
Rh 0.000 1.996 2.187
Rh 0.000 1.996 4.917
Rh 0.000 1.996 7.646
```